For Pm4NdSb3, DFT lattice parameters and positions (PBE) gives the computed powder XRD pattern in this record (Cu Kα (weighted mean of Kα1 and Kα2)).
Neutral-atom scattering factors, no anomalous dispersion.

Structure:
Unit cell a=12.025 b=4.610 c=9.740 alpha=90.00 beta=112.84 gamma=90.00
Fractional positions:
Pm 0.132 0.000 0.415
Pm 0.151 0.500 0.841
Pm 0.349 0.000 0.159
Pm 0.368 0.500 0.585
Pm 0.632 0.500 0.415
Pm 0.651 0.000 0.841
Pm 0.849 0.500 0.159
Pm 0.868 0.000 0.585
Nd 0.000 0.000 0.000
Nd 0.500 0.500 0.000
Sb 0.000 0.500 0.500
Sb 0.175 0.500 0.203
Sb 0.325 0.000 0.797
Sb 0.500 0.000 0.500
Sb 0.675 0.000 0.203
Sb 0.825 0.500 0.797

Principal peaks in the range 2θ = 10–90°, in order of rising 2θ:
- 2θ 29.5, rel. 100
- 2θ 30.1, rel. 40
- 2θ 31.0, rel. 27
- 2θ 31.4, rel. 24
- 2θ 34.0, rel. 74
- 2θ 35.5, rel. 19
- 2θ 39.1, rel. 36
- 2θ 50.1, rel. 33

=====

For PmNd3Sb2, DFT lattice parameters and positions (PBE) gives the computed powder XRD pattern in this record (Cu Kα (weighted mean of Kα1 and Kα2)).
Neutral-atom scattering factors, no anomalous dispersion.

Structure:
Unit cell a=4.595 b=4.595 c=8.859 alpha=90.00 beta=90.00 gamma=90.00
Fractional positions:
Pm 0.000 0.000 0.000
Nd 0.000 0.500 0.356
Nd 0.500 0.000 0.644
Nd 0.500 0.500 0.000
Sb 0.000 0.500 0.722
Sb 0.500 0.000 0.278

Principal peaks in the range 2θ = 10–90°, in order of rising 2θ:
- 2θ 29.3, rel. 100
- 2θ 30.3, rel. 40
- 2θ 34.2, rel. 87
- 2θ 36.2, rel. 23
- 2θ 39.2, rel. 59
- 2θ 50.3, rel. 39
- 2θ 65.0, rel. 20
- 2θ 67.9, rel. 24

=====

For Pm5Nd5Sb6, DFT lattice parameters and positions (PBE) gives the computed powder XRD pattern in this record (Cu Kα (weighted mean of Kα1 and Kα2)).
Neutral-atom scattering factors, no anomalous dispersion.

Structure:
Unit cell a=6.503 b=9.296 c=9.296 alpha=119.92 beta=90.00 gamma=90.00
Fractional positions:
Pm 0.000 0.000 0.000
Pm 0.250 0.083 0.417
Pm 0.250 0.417 0.083
Pm 0.750 0.083 0.417
Pm 0.750 0.417 0.083
Nd 0.000 0.500 0.749
Nd 0.000 0.749 0.500
Nd 0.500 0.499 0.499
Nd 0.500 0.750 0.999
Nd 0.500 0.999 0.750
Sb 0.000 0.137 0.750
Sb 0.000 0.361 0.361
Sb 0.000 0.750 0.137
Sb 0.500 0.138 0.138
Sb 0.500 0.362 0.750
Sb 0.500 0.750 0.362

Principal peaks in the range 2θ = 10–90°, in order of rising 2θ:
- 2θ 27.4, rel. 17
- 2θ 29.3, rel. 32
- 2θ 29.6, rel. 18
- 2θ 32.5, rel. 100
- 2θ 33.4, rel. 57
- 2θ 33.6, rel. 88
- 2θ 48.1, rel. 23
- 2θ 51.8, rel. 27

=====

For Pm3NdSb3, DFT lattice parameters and positions (PBE) gives the computed powder XRD pattern in this record (Cu Kα (weighted mean of Kα1 and Kα2)).
Neutral-atom scattering factors, no anomalous dispersion.

Structure:
Unit cell a=9.463 b=9.463 c=9.463 alpha=90.00 beta=90.00 gamma=90.00
Fractional positions:
Pm 0.071 0.429 0.571
Pm 0.180 0.180 0.180
Pm 0.180 0.820 0.320
Pm 0.320 0.180 0.820
Pm 0.320 0.820 0.680
Pm 0.429 0.571 0.071
Pm 0.571 0.071 0.429
Pm 0.680 0.320 0.820
Pm 0.680 0.680 0.680
Pm 0.820 0.320 0.180
Pm 0.820 0.680 0.320
Pm 0.929 0.929 0.929
Nd 0.070 0.570 0.930
Nd 0.430 0.430 0.430
Nd 0.570 0.930 0.070
Nd 0.930 0.070 0.570
Sb 0.000 0.249 0.876
Sb 0.000 0.749 0.624
Sb 0.124 0.500 0.251
Sb 0.249 0.876 0.000
Sb 0.251 0.124 0.500
Sb 0.376 0.500 0.751
Sb 0.500 0.251 0.124
Sb 0.500 0.751 0.376
Sb 0.624 0.000 0.749
Sb 0.749 0.624 0.000
Sb 0.751 0.376 0.500
Sb 0.876 0.000 0.249

Principal peaks in the range 2θ = 10–90°, in order of rising 2θ:
- 2θ 29.9, rel. 100
- 2θ 35.5, rel. 65
- 2θ 47.0, rel. 17
- 2θ 49.1, rel. 24
- 2θ 60.3, rel. 25
- 2θ 62.0, rel. 12
- 2θ 63.7, rel. 14
- 2θ 73.5, rel. 15

=====

For PmNd4Sb5, DFT lattice parameters and positions (PBE) gives the computed powder XRD pattern in this record (Cu Kα (weighted mean of Kα1 and Kα2)).
Neutral-atom scattering factors, no anomalous dispersion.

Structure:
Unit cell a=16.283 b=16.283 c=16.283 alpha=164.05 beta=164.05 gamma=22.63
Fractional positions:
Pm 0.000 0.000 0.000
Nd 0.200 0.200 0.000
Nd 0.400 0.400 0.000
Nd 0.600 0.600 0.000
Nd 0.800 0.800 0.000
Sb 0.100 0.100 0.000
Sb 0.300 0.300 0.000
Sb 0.500 0.500 0.000
Sb 0.700 0.700 0.000
Sb 0.900 0.900 0.000

Principal peaks in the range 2θ = 10–90°, in order of rising 2θ:
- 2θ 24.1, rel. 2
- 2θ 27.9, rel. 100
- 2θ 39.9, rel. 77
- 2θ 49.4, rel. 27
- 2θ 57.7, rel. 13
- 2θ 65.3, rel. 35
- 2θ 72.5, rel. 26
- 2θ 86.1, rel. 8

=====

For Pm2Nd2Sb5, DFT lattice parameters and positions (PBE) gives the computed powder XRD pattern in this record (Cu Kα (weighted mean of Kα1 and Kα2)).
Neutral-atom scattering factors, no anomalous dispersion.

Structure:
Unit cell a=9.090 b=9.090 c=8.366 alpha=90.00 beta=90.00 gamma=53.69
Fractional positions:
Pm 0.190 0.190 0.000
Pm 0.310 0.310 0.500
Pm 0.690 0.690 0.500
Pm 0.810 0.810 0.000
Nd 0.160 0.840 0.663
Nd 0.340 0.660 0.163
Nd 0.660 0.340 0.837
Nd 0.840 0.160 0.337
Sb 0.000 0.000 0.000
Sb 0.001 0.281 0.640
Sb 0.219 0.499 0.860
Sb 0.281 0.001 0.360
Sb 0.499 0.219 0.140
Sb 0.500 0.500 0.500
Sb 0.501 0.781 0.860
Sb 0.719 0.999 0.640
Sb 0.781 0.501 0.140
Sb 0.999 0.719 0.360

Principal peaks in the range 2θ = 10–90°, in order of rising 2θ:
- 2θ 26.6, rel. 38
- 2θ 29.1, rel. 100
- 2θ 30.5, rel. 36
- 2θ 31.5, rel. 39
- 2θ 32.8, rel. 79
- 2θ 33.1, rel. 46
- 2θ 34.4, rel. 68
- 2θ 34.9, rel. 64